This entry pairs a crystal structure of EuBePd with its computed X-ray diffraction stick pattern. Radiation: a wavelength of 1.5418 Å. Structure: a crystal structure in Alexandria, relaxed with PBE.

Atomic structure:
Unit cell a=4.0237 b=4.0237 c=4.3489 alpha=90.00 beta=90.00 gamma=120.00
Space group P-6m2 (No. 187)
Asymmetric unit:
Eu 0.0000 0.0000 0.0000 x1
Be 0.3333 0.6667 0.5000 x1
Pd 0.6667 0.3333 0.5000 x1

Principal peaks in the range 2θ from 15° to 90°, sorted by position:
two_theta  d [Å]  I_rel  (hkl)
25.6  3.485  31  1 0 0
32.9  2.719  100  1 0 1
41.5  2.174  12  0 0 2
45.1  2.012  28  1 1 0
56.9  1.617  21  2 0 1
62.9  1.477  21  1 1 2
70.3  1.338  11  1 0 3
75.4  1.261  18  2 1 1

This entry pairs a crystal structure of Ac2Cl3 with its computed X-ray diffraction stick pattern. Radiation: a wavelength of 1.5418 Å. Structure: a crystal structure in Alexandria, relaxed with PBE.

Atomic structure:
Unit cell a=6.6834 b=6.6834 c=26.4735 alpha=90.00 beta=90.00 gamma=120.00
Space group R-3c (No. 167, hexagonal axes)
Asymmetric unit:
Ac 0.0000 0.0000 0.1640 x12
Cl 0.0000 0.3174 0.2500 x18

Principal peaks in the range 2θ from 15° to 90°, sorted by position:
two_theta  d [Å]  I_rel  (hkl)
16.7  5.303  51  0 1 2
20.1  4.412  25  0 0 6
20.4  4.357  40  1 0 4
26.7  3.342  55  1 1 0
33.6  2.664  100  1 1 6
47.1  1.929  24  3 0 0
49.5  1.841  21  1 1 12
59.1  1.563  20  2 2 6

Repeat the first record exactly.
This entry pairs a crystal structure of EuBePd with its computed X-ray diffraction stick pattern. Radiation: a wavelength of 1.5418 Å. Structure: a crystal structure in Alexandria, relaxed with PBE.

Atomic structure:
Unit cell a=4.0237 b=4.0237 c=4.3489 alpha=90.00 beta=90.00 gamma=120.00
Space group P-6m2 (No. 187)
Asymmetric unit:
Eu 0.0000 0.0000 0.0000 x1
Be 0.3333 0.6667 0.5000 x1
Pd 0.6667 0.3333 0.5000 x1

Principal peaks in the range 2θ from 15° to 90°, sorted by position:
two_theta  d [Å]  I_rel  (hkl)
25.6  3.485  31  1 0 0
32.9  2.719  100  1 0 1
41.5  2.174  12  0 0 2
45.1  2.012  28  1 1 0
56.9  1.617  21  2 0 1
62.9  1.477  21  1 1 2
70.3  1.338  11  1 0 3
75.4  1.261  18  2 1 1